1.
Diffraction record for K2ZrAuO4. The powder XRD pattern is theoretical, not measured: it uses a PBE-relaxed structure and copper Kα.

Top 12 peaks for 10° ≤ 2θ ≤ 90°, low angle first:
2θ 18.68, d 4.749, rel. 85; 2θ 27.96, d 3.192, rel. 59; 2θ 32.06, d 2.792, rel. 100; 2θ 33.84, d 2.649, rel. 31; 2θ 39.95, d 2.257, rel. 30; 2θ 50.03, d 1.823, rel. 13; 2θ 52.11, d 1.755, rel. 53; 2θ 53.33, d 1.718, rel. 12; 2θ 59.55, d 1.552, rel. 18; 2θ 65.38, d 1.427, rel. 14; 2θ 67.04, d 1.396, rel. 11; 2θ 81.53, d 1.181, rel. 13

Structure:
abc: 5.745 5.745 5.745
angles: 112.50 112.50 103.57
Positions (direct):
K: 0.000 0.000 0.000
K: 0.750 0.250 0.500
Zr: 0.250 0.750 0.500
Au: 0.500 0.500 0.000
O: 0.272 0.122 0.554
O: 0.282 0.728 0.850
O: 0.569 0.718 0.446
O: 0.878 0.431 0.150

2.
Diffraction record for KPAu4. The powder XRD pattern is theoretical, not measured: it uses a PBE-relaxed structure and copper Kα.

Top 12 peaks for 10° ≤ 2θ ≤ 90°, low angle first:
2θ 11.90, d 7.435, rel. 24; 2θ 18.73, d 4.737, rel. 63; 2θ 29.24, d 3.054, rel. 100; 2θ 36.09, d 2.489, rel. 53; 2θ 36.25, d 2.478, rel. 25; 2θ 37.99, d 2.369, rel. 55; 2θ 41.10, d 2.196, rel. 25; 2θ 53.51, d 1.712, rel. 34; 2θ 54.81, d 1.675, rel. 19; 2θ 57.20, d 1.610, rel. 19; 2θ 63.33, d 1.469, rel. 23; 2θ 67.44, d 1.389, rel. 35

Structure:
abc: 4.737 4.737 7.435
angles: 90.00 90.00 90.00
Positions (direct):
K: 0.000 0.000 0.000
P: 0.500 0.500 0.500
Au: 0.000 0.500 0.500
Au: 0.500 0.000 0.500
Au: 0.500 0.500 0.175
Au: 0.500 0.500 0.825

3.
Diffraction record for K5P2Au. The powder XRD pattern is theoretical, not measured: it uses a PBE-relaxed structure and copper Kα.

Top 12 peaks for 10° ≤ 2θ ≤ 90°, low angle first:
2θ 18.00, d 4.929, rel. 22; 2θ 18.61, d 4.769, rel. 74; 2θ 22.93, d 3.879, rel. 45; 2θ 26.16, d 3.407, rel. 46; 2θ 31.44, d 2.846, rel. 100; 2θ 32.88, d 2.724, rel. 29; 2θ 33.83, d 2.650, rel. 26; 2θ 38.07, d 2.364, rel. 31; 2θ 42.87, d 2.109, rel. 18; 2θ 50.22, d 1.817, rel. 34; 2θ 55.97, d 1.643, rel. 18; 2θ 58.74, d 1.572, rel. 21

Structure:
abc: 5.692 5.692 18.857
angles: 90.00 90.00 120.00
Positions (direct):
K: 0.000 0.000 0.144
K: 0.000 0.000 0.356
K: 0.000 0.000 0.644
K: 0.000 0.000 0.856
K: 0.333 0.667 0.049
K: 0.333 0.667 0.250
K: 0.333 0.667 0.451
K: 0.667 0.333 0.549
K: 0.667 0.333 0.750
K: 0.667 0.333 0.951
P: 0.333 0.667 0.622
P: 0.333 0.667 0.878
P: 0.667 0.333 0.122
P: 0.667 0.333 0.378
Au: 0.333 0.667 0.750
Au: 0.667 0.333 0.250

4.
Diffraction record for KP3Au3. The powder XRD pattern is theoretical, not measured: it uses a PBE-relaxed structure and copper Kα.

Top 12 peaks for 10° ≤ 2θ ≤ 90°, low angle first:
2θ 15.19, d 5.831, rel. 24; 2θ 20.16, d 4.404, rel. 29; 2θ 24.93, d 3.572, rel. 23; 2θ 26.11, d 3.412, rel. 100; 2θ 27.56, d 3.236, rel. 47; 2θ 30.72, d 2.911, rel. 27; 2θ 34.96, d 2.566, rel. 66; 2θ 38.68, d 2.328, rel. 15; 2θ 41.47, d 2.178, rel. 36; 2θ 42.94, d 2.106, rel. 25; 2θ 46.53, d 1.952, rel. 38; 2θ 51.79, d 1.765, rel. 28

Structure:
abc: 4.212 6.738 11.639
angles: 90.00 90.00 90.00
Positions (direct):
K: 0.250 0.250 0.090
K: 0.750 0.750 0.910
P: 0.250 0.079 0.797
P: 0.250 0.421 0.797
P: 0.250 0.750 0.434
P: 0.750 0.250 0.566
P: 0.750 0.579 0.203
P: 0.750 0.921 0.203
Au: 0.250 0.534 0.600
Au: 0.250 0.750 0.160
Au: 0.250 0.966 0.600
Au: 0.750 0.034 0.400
Au: 0.750 0.250 0.840
Au: 0.750 0.466 0.400

5.
Diffraction record for K3P2Au. The powder XRD pattern is theoretical, not measured: it uses a PBE-relaxed structure and copper Kα.

Top 12 peaks for 10° ≤ 2θ ≤ 90°, low angle first:
2θ 17.21, d 5.152, rel. 69; 2θ 17.35, d 5.111, rel. 100; 2θ 17.93, d 4.947, rel. 62; 2θ 25.46, d 3.498, rel. 35; 2θ 29.61, d 3.017, rel. 20; 2θ 29.77, d 3.001, rel. 51; 2θ 29.94, d 2.984, rel. 39; 2θ 30.85, d 2.898, rel. 38; 2θ 30.99, d 2.886, rel. 88; 2θ 36.32, d 2.474, rel. 26; 2θ 38.11, d 2.362, rel. 23; 2θ 40.79, d 2.212, rel. 25

Structure:
abc: 6.997 6.997 7.549
angles: 90.46 90.46 90.01
Positions (direct):
K: 0.114 0.886 0.750
K: 0.269 0.378 0.969
K: 0.378 0.269 0.469
K: 0.622 0.731 0.531
K: 0.731 0.622 0.031
K: 0.886 0.114 0.250
P: 0.005 0.435 0.638
P: 0.435 0.005 0.138
P: 0.565 0.995 0.862
P: 0.995 0.565 0.362
Au: 0.247 0.753 0.250
Au: 0.753 0.247 0.750

6.
Diffraction record for KP12Au4. The powder XRD pattern is theoretical, not measured: it uses a PBE-relaxed structure and copper Kα.

Top 12 peaks for 10° ≤ 2θ ≤ 90°, low angle first:
2θ 20.54, d 4.324, rel. 100; 2θ 28.35, d 3.149, rel. 84; 2θ 30.04, d 2.974, rel. 68; 2θ 33.80, d 2.652, rel. 14; 2θ 36.67, d 2.451, rel. 35; 2θ 41.78, d 2.162, rel. 22; 2θ 45.84, d 1.979, rel. 50; 2θ 48.11, d 1.891, rel. 44; 2θ 49.10, d 1.855, rel. 18; 2θ 52.31, d 1.749, rel. 32; 2θ 53.36, d 1.717, rel. 18; 2θ 67.29, d 1.391, rel. 16

Structure:
abc: 7.363 7.363 7.363
angles: 107.78 107.78 107.78
Positions (direct):
K: 0.000 0.000 0.000
P: 0.114 0.618 0.748
P: 0.133 0.369 0.504
P: 0.252 0.886 0.382
P: 0.369 0.504 0.133
P: 0.382 0.252 0.886
P: 0.496 0.867 0.631
P: 0.504 0.133 0.369
P: 0.618 0.748 0.114
P: 0.631 0.496 0.867
P: 0.748 0.114 0.618
P: 0.867 0.631 0.496
P: 0.886 0.382 0.252
Au: 0.000 0.000 0.500
Au: 0.000 0.500 0.000
Au: 0.500 0.000 0.000
Au: 0.500 0.500 0.500

7.
Diffraction record for K5P2Au. The powder XRD pattern is theoretical, not measured: it uses a PBE-relaxed structure and copper Kα.

Top 12 peaks for 10° ≤ 2θ ≤ 90°, low angle first:
2θ 18.43, d 4.814, rel. 48; 2θ 19.31, d 4.596, rel. 51; 2θ 22.51, d 3.950, rel. 31; 2θ 24.65, d 3.612, rel. 40; 2θ 31.67, d 2.825, rel. 100; 2θ 32.42, d 2.762, rel. 40; 2θ 33.26, d 2.694, rel. 22; 2θ 37.69, d 2.387, rel. 16; 2θ 38.33, d 2.348, rel. 25; 2θ 44.22, d 2.048, rel. 18; 2θ 52.30, d 1.749, rel. 16; 2θ 56.40, d 1.631, rel. 18

Structure:
abc: 9.499 9.499 9.499
angles: 34.61 34.61 34.61
Positions (direct):
K: 0.000 0.000 0.000
K: 0.130 0.130 0.130
K: 0.282 0.282 0.282
K: 0.718 0.718 0.718
K: 0.870 0.870 0.870
P: 0.409 0.409 0.409
P: 0.591 0.591 0.591
Au: 0.500 0.500 0.500

8.
Diffraction record for KP2AuS7. The powder XRD pattern is theoretical, not measured: it uses a PBE-relaxed structure and copper Kα.

Top 12 peaks for 10° ≤ 2θ ≤ 90°, low angle first:
2θ 11.07, d 7.991, rel. 23; 2θ 15.36, d 5.769, rel. 100; 2θ 15.51, d 5.714, rel. 24; 2θ 17.52, d 5.061, rel. 40; 2θ 20.77, d 4.276, rel. 25; 2θ 21.91, d 4.056, rel. 44; 2θ 25.74, d 3.461, rel. 15; 2θ 28.46, d 3.136, rel. 28; 2θ 29.42, d 3.036, rel. 17; 2θ 30.99, d 2.886, rel. 21; 2θ 31.32, d 2.856, rel. 19; 2θ 36.44, d 2.466, rel. 14

Structure:
abc: 6.374 6.374 15.984
angles: 90.63 90.63 105.14
Positions (direct):
K: 0.226 0.774 0.750
K: 0.774 0.226 0.250
P: 0.167 0.813 0.354
P: 0.187 0.833 0.146
P: 0.813 0.167 0.854
P: 0.833 0.187 0.646
Au: 0.000 0.500 0.000
Au: 0.500 0.000 0.500
S: 0.131 0.341 0.882
S: 0.147 0.240 0.664
S: 0.240 0.147 0.164
S: 0.271 0.661 0.454
S: 0.312 0.688 0.250
S: 0.339 0.729 0.046
S: 0.341 0.131 0.382
S: 0.659 0.869 0.618
S: 0.661 0.271 0.954
S: 0.688 0.312 0.750
S: 0.729 0.339 0.546
S: 0.760 0.853 0.836
S: 0.853 0.760 0.336
S: 0.869 0.659 0.118

9.
Diffraction record for K2PaTe4Au2. The powder XRD pattern is theoretical, not measured: it uses a PBE-relaxed structure and copper Kα.

Top 12 peaks for 10° ≤ 2θ ≤ 90°, low angle first:
2θ 10.91, d 8.109, rel. 22; 2θ 11.51, d 7.685, rel. 49; 2θ 12.56, d 7.050, rel. 100; 2θ 23.15, d 3.843, rel. 19; 2θ 28.48, d 3.134, rel. 22; 2θ 29.22, d 3.056, rel. 79; 2θ 30.54, d 2.927, rel. 19; 2θ 32.21, d 2.779, rel. 60; 2θ 32.42, d 2.762, rel. 20; 2θ 39.28, d 2.293, rel. 39; 2θ 42.14, d 2.145, rel. 37; 2θ 66.97, d 1.397, rel. 18

Structure:
abc: 9.041 9.041 8.288
angles: 111.24 111.24 29.38
Positions (direct):
K: 0.141 0.141 0.085
K: 0.859 0.859 0.915
Pa: 0.000 0.000 0.500
Te: 0.197 0.197 0.664
Te: 0.476 0.476 0.738
Te: 0.524 0.524 0.262
Te: 0.803 0.803 0.336
Au: 0.369 0.369 0.272
Au: 0.631 0.631 0.728

10.
Diffraction record for KPb3Au. The powder XRD pattern is theoretical, not measured: it uses a PBE-relaxed structure and copper Kα.

Top 12 peaks for 10° ≤ 2θ ≤ 90°, low angle first:
2θ 17.86, d 4.966, rel. 20; 2θ 18.61, d 4.767, rel. 45; 2θ 22.54, d 3.944, rel. 41; 2θ 30.36, d 2.944, rel. 28; 2θ 31.57, d 2.834, rel. 100; 2θ 36.18, d 2.483, rel. 29; 2θ 37.83, d 2.378, rel. 20; 2θ 38.83, d 2.319, rel. 17; 2θ 40.01, d 2.254, rel. 18; 2θ 40.79, d 2.212, rel. 19; 2θ 41.16, d 2.193, rel. 26; 2θ 43.79, d 2.067, rel. 18

Structure:
abc: 7.056 6.491 6.990
angles: 90.00 90.00 90.00
Positions (direct):
K: 0.000 0.216 0.000
K: 0.500 0.784 0.500
Pb: 0.000 0.858 0.631
Pb: 0.242 0.286 0.502
Pb: 0.258 0.714 0.002
Pb: 0.500 0.142 0.131
Pb: 0.742 0.714 0.002
Pb: 0.758 0.286 0.502
Au: 0.000 0.596 0.308
Au: 0.500 0.404 0.808

11.
Diffraction record for KPb5Au2. The powder XRD pattern is theoretical, not measured: it uses a PBE-relaxed structure and copper Kα.

Top 12 peaks for 10° ≤ 2θ ≤ 90°, low angle first:
2θ 12.39, d 7.142, rel. 75; 2θ 13.92, d 6.361, rel. 43; 2θ 28.83, d 3.097, rel. 100; 2θ 29.42, d 3.036, rel. 81; 2θ 35.05, d 2.560, rel. 85; 2θ 36.03, d 2.493, rel. 68; 2θ 37.01, d 2.429, rel. 83; 2θ 37.79, d 2.381, rel. 30; 2θ 39.75, d 2.268, rel. 64; 2θ 41.84, d 2.159, rel. 23; 2θ 54.02, d 1.697, rel. 50; 2θ 64.80, d 1.439, rel. 37

Structure:
abc: 8.014 8.014 8.014
angles: 147.13 114.84 74.93
Positions (direct):
K: 0.000 0.000 0.000
Pb: 0.152 0.350 0.801
Pb: 0.451 0.650 0.801
Pb: 0.500 0.000 0.500
Pb: 0.549 0.350 0.199
Pb: 0.848 0.650 0.199
Au: 0.255 0.755 0.500
Au: 0.745 0.245 0.500

12.
Diffraction record for KPb5Au3. The powder XRD pattern is theoretical, not measured: it uses a PBE-relaxed structure and copper Kα.

Top 12 peaks for 10° ≤ 2θ ≤ 90°, low angle first:
2θ 11.46, d 7.720, rel. 100; 2θ 12.53, d 7.063, rel. 92; 2θ 26.70, d 3.339, rel. 54; 2θ 28.28, d 3.156, rel. 71; 2θ 30.85, d 2.898, rel. 54; 2θ 34.38, d 2.608, rel. 52; 2θ 34.87, d 2.573, rel. 79; 2θ 35.55, d 2.525, rel. 87; 2θ 36.36, d 2.471, rel. 94; 2θ 36.71, d 2.448, rel. 44; 2θ 38.23, d 2.354, rel. 57; 2θ 39.48, d 2.283, rel. 76

Structure:
abc: 8.264 8.264 15.440
angles: 90.00 90.00 147.93
Positions (direct):
K: 0.167 0.833 0.750
K: 0.833 0.167 0.250
Pb: 0.000 0.000 0.000
Pb: 0.000 0.000 0.500
Pb: 0.198 0.802 0.073
Pb: 0.198 0.802 0.427
Pb: 0.459 0.541 0.648
Pb: 0.459 0.541 0.852
Pb: 0.541 0.459 0.148
Pb: 0.541 0.459 0.352
Pb: 0.802 0.198 0.573
Pb: 0.802 0.198 0.927
Au: 0.132 0.868 0.250
Au: 0.376 0.624 0.040
Au: 0.376 0.624 0.460
Au: 0.624 0.376 0.540
Au: 0.624 0.376 0.960
Au: 0.868 0.132 0.750

13.
Diffraction record for KPbAu. The powder XRD pattern is theoretical, not measured: it uses a PBE-relaxed structure and copper Kα.

Top 12 peaks for 10° ≤ 2θ ≤ 90°, low angle first:
2θ 14.36, d 6.167, rel. 100; 2θ 28.96, d 3.083, rel. 14; 2θ 31.48, d 2.842, rel. 69; 2θ 32.19, d 2.781, rel. 63; 2θ 35.41, d 2.535, rel. 49; 2θ 43.30, d 2.090, rel. 35; 2θ 43.84, d 2.065, rel. 18; 2θ 46.04, d 1.971, rel. 12; 2θ 56.87, d 1.619, rel. 13; 2θ 57.02, d 1.615, rel. 13; 2θ 57.30, d 1.608, rel. 24; 2θ 76.45, d 1.246, rel. 19

Structure:
abc: 6.765 6.765 6.765
angles: 146.28 146.12 48.55
Positions (direct):
K: 0.000 0.000 0.000
Pb: 0.716 0.716 0.000
Au: 0.297 0.297 0.000